# 1
Sr2Fe2S2OF2: calculated XRD peak list (Cu Kα, 1.54184 Å), based on a DFT-relaxed cell (PBE+U, the Materials Project).
Lines closer than 0.1° are merged.

Structural model:
Lattice parameters (Å, degrees): 4.0957 4.0957 18.2218 90.00 90.00 90.00
Space group I4/mmm (No. 139)
Symmetry-distinct sites (fractional):
1 Sr 0.0000 0.0000 0.1716
2 Fe 0.0000 0.5000 0.0000
3 S 0.0000 0.0000 0.4054
4 O 0.0000 0.0000 0.0000
5 F 0.0000 0.5000 0.2500

Top 12 peaks for 2θ from 10° to 80°, low angle first:
2θ (°)  I (rel.)
26.24  76
29.41  30
32.44  39
32.90  77
36.77  100
44.23  75
50.27  23
51.01  39
52.16  24
54.01  22
56.21  30
64.33  22

# 2
Ba2HoMoO6: calculated XRD peak list (Cu Kα, 1.54184 Å), based on a DFT-relaxed cell (PBE+U, the Materials Project).
Lines closer than 0.1° are merged.

Structural model:
Lattice parameters (Å, degrees): 8.4881 8.4881 8.4881 90.00 90.00 90.00
Space group Fm-3m (No. 225)
Symmetry-distinct sites (fractional):
1 Ba 0.2500 0.2500 0.2500
2 Ho 0.0000 0.0000 0.0000
3 Mo 0.0000 0.0000 0.5000
4 O 0.0000 0.0000 0.2634

Top 12 peaks for 2θ from 10° to 80°, low angle first:
2θ (°)  I (rel.)
18.10  3
29.77  100
35.06  2
36.68  2
42.61  29
46.64  2
52.84  40
56.32  1
61.83  18
65.00  1
70.12  18
77.99  6

# 3
K2LiMn2O4: calculated XRD peak list (Cu Kα, 1.54184 Å), based on a DFT-relaxed cell (PBE+U, the Materials Project).
Lines closer than 0.1° are merged.

Structural model:
Lattice parameters (Å, degrees): 6.4573 6.5075 6.5925 94.27 92.31 93.17
Space group P-1 (No. 2)
Symmetry-distinct sites (fractional):
1 K 0.0000 0.0000 0.0000
2 K 0.0210 0.4829 0.7487
3 K 0.5000 0.5000 0.5000
4 Li 0.3536 0.1363 0.2589
5 Mn 0.1832 0.9140 0.5370
6 Mn 0.4151 0.6918 0.0288
7 O 0.1293 0.2048 0.4568
8 O 0.2797 0.8273 0.2410
9 O 0.3310 0.4012 0.0727
10 O 0.3400 0.8177 0.7845

Top 12 peaks for 2θ from 10° to 80°, low angle first:
2θ (°)  I (rel.)
18.86  23
19.73  27
20.00  100
27.16  32
31.48  30
31.66  65
31.74  47
32.52  92
32.89  30
33.19  42
33.64  34
35.33  36

# 4
CoSn2H12O6F6: calculated XRD peak list (Cu Kα, 1.54184 Å), based on a DFT-relaxed cell (PBE+U, the Materials Project).
Lines closer than 0.1° are merged.

Structural model:
Lattice parameters (Å, degrees): 6.7880 7.0853 7.2154 76.79 79.02 70.52
Space group P-1 (No. 2)
Symmetry-distinct sites (fractional):
1 Co 0.0000 0.0000 0.0000
2 Sn 0.3353 0.3228 0.3627
3 H 0.0786 0.8097 0.3638
4 H 0.1080 0.7406 0.7478
5 H 0.2259 0.6291 0.9311
6 H 0.2461 0.2453 0.9572
7 H 0.2586 0.9131 0.2716
8 H 0.3511 0.0833 0.8160
9 O 0.1643 0.8461 0.2415
10 O 0.1869 0.7608 0.8404
11 O 0.2155 0.1581 0.8833
12 F 0.0281 0.2893 0.4196
13 F 0.2885 0.4027 0.0712
14 F 0.4293 0.0179 0.3147

Top 12 peaks for 2θ from 10° to 80°, low angle first:
2θ (°)  I (rel.)
17.87  100
20.05  74
20.16  68
22.22  51
26.49  24
26.73  22
27.24  54
27.62  50
27.87  54
40.98  20
41.24  28
45.16  19

# 5
SrNiO2: calculated XRD peak list (Cu Kα, 1.54184 Å), based on a DFT-relaxed cell (PBE+U, the Materials Project).
Lines closer than 0.1° are merged.

Structural model:
Lattice parameters (Å, degrees): 3.5967 16.3362 4.0598 90.00 90.00 90.00
Space group Cmcm (No. 63)
Symmetry-distinct sites (fractional):
1 Sr 0.0000 0.1685 0.2500
2 Ni 0.0000 0.4386 0.2500
3 O 0.0000 0.3205 0.2500
4 O 0.0000 0.4438 0.7500

Top 12 peaks for 2θ from 10° to 80°, low angle first:
2θ (°)  I (rel.)
25.36  15
29.77  64
31.06  61
33.74  100
37.21  21
44.36  20
44.64  31
46.38  19
50.77  21
51.85  30
54.58  23
60.72  19

# 6
LiNi2OF3: calculated XRD peak list (Cu Kα, 1.54184 Å), based on a DFT-relaxed cell (PBE+U, the Materials Project).
Lines closer than 0.1° are merged.

Structural model:
Lattice parameters (Å, degrees): 5.9834 5.9834 15.1636 90.00 90.00 120.00
Space group R-3m (No. 166, hexagonal axes)
Symmetry-distinct sites (fractional):
1 Li 0.0000 0.0000 0.1466
2 Ni 0.0000 0.0000 0.5000
3 Ni 0.0000 0.5000 0.0000
4 O 0.0000 0.0000 0.2727
5 F 0.0138 0.5069 0.2445

Top 12 peaks for 2θ from 10° to 80°, low angle first:
2θ (°)  I (rel.)
17.55  28
18.09  100
34.26  25
34.85  30
35.14  18
36.65  11
42.25  88
46.77  12
55.88  13
60.52  26
62.04  27
77.94  11

# 7
K2NiHgF6: calculated XRD peak list (Cu Kα, 1.54184 Å), based on a DFT-relaxed cell (PBE+U, the Materials Project).
Lines closer than 0.1° are merged.

Structural model:
Lattice parameters (Å, degrees): 8.6504 8.6504 8.6504 90.00 90.00 90.00
Space group Fm-3m (No. 225)
Symmetry-distinct sites (fractional):
1 K 0.2500 0.2500 0.2500
2 Ni 0.0000 0.0000 0.0000
3 Hg 0.0000 0.0000 0.5000
4 F 0.0000 0.0000 0.2328

Top 12 peaks for 2θ from 10° to 80°, low angle first:
2θ (°)  I (rel.)
17.76  31
20.53  61
29.20  100
34.38  26
41.77  41
45.72  15
46.98  28
51.77  39
55.17  8
60.55  25
64.65  13
68.62  18

# 8
TiV3Cr2P6O24: calculated XRD peak list (Cu Kα, 1.54184 Å), based on a DFT-relaxed cell (PBE+U, the Materials Project).
Lines closer than 0.1° are merged.

Structural model:
Lattice parameters (Å, degrees): 8.6283 8.6283 21.0425 90.00 90.00 120.00
Space group R3 (No. 146, hexagonal axes)
Symmetry-distinct sites (fractional):
1 Ti 0.0000 0.0000 0.0000
2 V 0.0000 0.0000 0.2114
3 V 0.0000 0.0000 0.4973
4 V 0.0000 0.0000 0.7104
5 Cr 0.0000 0.0000 0.3540
6 Cr 0.0000 0.0000 0.8544
7 P 0.9998 0.2940 0.1048
8 P 0.0001 0.7069 0.6042
9 O 0.0001 0.8023 0.5435
10 O 0.0008 0.1974 0.1647
11 O 0.0009 0.8042 0.6647
12 O 0.0150 0.8337 0.2774
13 O 0.0164 0.1818 0.7764
14 O 0.1470 0.4754 0.7115
15 O 0.1700 0.4816 0.0962
16 O 0.1702 0.6841 0.5992

Top 12 peaks for 2θ from 10° to 80°, low angle first:
2θ (°)  I (rel.)
20.59  70
24.22  100
25.30  15
31.97  16
32.91  64
36.06  31
47.22  26
49.61  24
56.43  20
56.53  12
62.85  16
76.51  11